The following is a simulated powder diffraction line list of LiAgP2. It was derived from a cell relaxed with GGA-PBE, using copper Kα.
Peak positions follow from Bragg's law for the DFT cell and can differ from measured ones.

Main lines, low angle first (10° ≤ 2θ ≤ 90°):
d [Å], Rel. int.
5.168, 59
3.824, 96
3.041, 36
2.642, 48
2.518, 33
2.338, 51
2.263, 100
2.058, 25
1.847, 26
1.545, 26

Crystal structure
Cell lengths 5.786, 5.786, 5.786 Å; angles 148.08, 138.32, 53.44 degrees
Sites, in units of the cell vectors:
Li (0.000, 0.000, 0.000)
Ag (0.717, 0.217, 0.500)
P (0.335, 0.835, 0.500)
P (0.491, 0.491, 0.000)

The following is a simulated powder diffraction line list of LiAg2P. It was derived from a cell relaxed with GGA-PBE, using copper Kα.
Peak positions follow from Bragg's law for the DFT cell and can differ from measured ones.

Main lines, low angle first (10° ≤ 2θ ≤ 90°):
d [Å], Rel. int.
3.617, 90
2.317, 100
2.181, 22
2.046, 34
1.933, 14
1.781, 23
1.492, 13
1.447, 16
1.405, 19
1.227, 24

Crystal structure
Cell lengths 4.829, 4.829, 4.829 Å; angles 129.86, 129.86, 73.63 degrees
Sites, in units of the cell vectors:
Li (0.000, 0.000, 0.000)
Ag (0.250, 0.750, 0.500)
Ag (0.500, 0.500, 0.000)
P (0.750, 0.250, 0.500)

The following is a simulated powder diffraction line list of LiPaAg4. It was derived from a cell relaxed with GGA-PBE, using copper Kα.
Peak positions follow from Bragg's law for the DFT cell and can differ from measured ones.

Main lines, low angle first (10° ≤ 2θ ≤ 90°):
d [Å], Rel. int.
4.540, 27
3.932, 27
2.780, 24
2.371, 100
2.270, 42
1.758, 11
1.513, 33
1.390, 24
1.199, 11
1.185, 15

Crystal structure
Cell lengths 5.560, 5.560, 5.560 Å; angles 60.00, 60.00, 60.00 degrees
Sites, in units of the cell vectors:
Li (0.000, 0.000, 0.000)
Pa (0.750, 0.750, 0.750)
Ag (0.374, 0.374, 0.374)
Ag (0.374, 0.374, 0.877)
Ag (0.374, 0.877, 0.374)
Ag (0.877, 0.374, 0.374)

The following is a simulated powder diffraction line list of Li6AgPb. It was derived from a cell relaxed with GGA-PBE, using copper Kα.
Peak positions follow from Bragg's law for the DFT cell and can differ from measured ones.

Main lines, low angle first (10° ≤ 2θ ≤ 90°):
d [Å], Rel. int.
4.273, 100
3.982, 42
3.021, 43
2.913, 78
2.407, 59
2.137, 21
1.911, 23
1.883, 22
1.805, 19
1.723, 33

Crystal structure
Cell lengths 4.273, 4.273, 7.964 Å; angles 90.00, 90.00, 90.00 degrees
Sites, in units of the cell vectors:
Li (0.000, 0.000, 0.000)
Li (0.000, 0.000, 0.500)
Li (0.000, 0.500, 0.237)
Li (0.000, 0.500, 0.763)
Li (0.500, 0.000, 0.237)
Li (0.500, 0.000, 0.763)
Ag (0.500, 0.500, 0.000)
Pb (0.500, 0.500, 0.500)

The following is a simulated powder diffraction line list of Li4Ag2Pb5. It was derived from a cell relaxed with GGA-PBE, using copper Kα.
Peak positions follow from Bragg's law for the DFT cell and can differ from measured ones.

Main lines, low angle first (10° ≤ 2θ ≤ 90°):
d [Å], Rel. int.
4.310, 46
3.729, 21
3.364, 24
3.324, 30
3.284, 25
3.231, 25
2.811, 49
2.742, 29
2.476, 26
2.383, 100

Crystal structure
Cell lengths 4.770, 7.440, 7.827 Å; angles 82.51, 72.43, 71.33 degrees
Sites, in units of the cell vectors:
Li (0.121, 0.298, 0.462)
Li (0.348, 0.264, 0.041)
Li (0.652, 0.736, 0.959)
Li (0.879, 0.702, 0.538)
Ag (0.097, 0.628, 0.183)
Ag (0.903, 0.372, 0.817)
Pb (0.000, 0.000, 0.000)
Pb (0.329, 0.601, 0.737)
Pb (0.386, 0.891, 0.339)
Pb (0.614, 0.109, 0.661)
Pb (0.671, 0.399, 0.263)

The following is a simulated powder diffraction line list of Li2Ag3Pb2. It was derived from a cell relaxed with GGA-PBE, using copper Kα.
Peak positions follow from Bragg's law for the DFT cell and can differ from measured ones.

Main lines, low angle first (10° ≤ 2θ ≤ 90°):
d [Å], Rel. int.
4.219, 34
3.871, 55
2.679, 22
2.567, 100
2.481, 100
2.228, 31
2.221, 34
2.112, 32
1.672, 23
1.533, 29

Crystal structure
Cell lengths 5.306, 5.306, 7.166 Å; angles 95.62, 95.62, 46.90 degrees
Sites, in units of the cell vectors:
Li (0.080, 0.080, 0.256)
Li (0.920, 0.920, 0.744)
Ag (0.212, 0.212, 0.620)
Ag (0.500, 0.500, 0.500)
Ag (0.788, 0.788, 0.380)
Pb (0.362, 0.362, 0.100)
Pb (0.638, 0.638, 0.900)

The following is a simulated powder diffraction line list of Li2Ag4Pb3. It was derived from a cell relaxed with GGA-PBE, using copper Kα.
Peak positions follow from Bragg's law for the DFT cell and can differ from measured ones.

Main lines, low angle first (10° ≤ 2θ ≤ 90°):
d [Å], Rel. int.
4.629, 31
3.700, 54
3.146, 46
2.654, 61
2.527, 58
2.436, 100
2.362, 91
1.830, 41
1.441, 19
1.425, 25

Crystal structure
Cell lengths 5.394, 5.394, 8.196 Å; angles 102.12, 102.12, 55.87 degrees
Sites, in units of the cell vectors:
Li (0.233, 0.233, 0.316)
Li (0.767, 0.767, 0.684)
Ag (0.118, 0.118, 0.642)
Ag (0.315, 0.315, 0.979)
Ag (0.685, 0.685, 0.021)
Ag (0.882, 0.882, 0.358)
Pb (0.000, 0.000, 0.000)
Pb (0.444, 0.444, 0.674)
Pb (0.556, 0.556, 0.326)

The following is a simulated powder diffraction line list of Li6Ag8Pb. It was derived from a cell relaxed with GGA-PBE, using copper Kα.
Peak positions follow from Bragg's law for the DFT cell and can differ from measured ones.

Main lines, low angle first (10° ≤ 2θ ≤ 90°):
d [Å], Rel. int.
6.167, 49
5.400, 17
3.462, 23
3.135, 100
2.574, 32
2.223, 65
2.211, 41
2.140, 29
1.813, 17
1.431, 13

Crystal structure
Cell lengths 6.995, 6.995, 6.995 Å; angles 66.79, 66.79, 66.79 degrees
Sites, in units of the cell vectors:
Li (0.118, 0.382, 0.632)
Li (0.368, 0.882, 0.618)
Li (0.382, 0.632, 0.118)
Li (0.618, 0.368, 0.882)
Li (0.632, 0.118, 0.382)
Li (0.882, 0.618, 0.368)
Ag (0.138, 0.822, 0.420)
Ag (0.178, 0.580, 0.862)
Ag (0.246, 0.246, 0.246)
Ag (0.420, 0.138, 0.822)
Ag (0.580, 0.862, 0.178)
Ag (0.754, 0.754, 0.754)
Ag (0.822, 0.420, 0.138)
Ag (0.862, 0.178, 0.580)
Pb (0.000, 0.000, 0.000)

The following is a simulated powder diffraction line list of Li3AgPb. It was derived from a cell relaxed with GGA-PBE, using copper Kα.
Peak positions follow from Bragg's law for the DFT cell and can differ from measured ones.

Main lines, low angle first (10° ≤ 2θ ≤ 90°):
d [Å], Rel. int.
4.704, 100
4.208, 25
4.138, 90
3.136, 21
2.753, 27
2.592, 28
2.416, 79
2.376, 40
2.352, 20
1.955, 42

Crystal structure
Cell lengths 6.311, 5.028, 5.450 Å; angles 73.95, 49.97, 56.09 degrees
Sites, in units of the cell vectors:
Li (0.000, 0.000, 0.000)
Li (0.266, 0.266, 0.234)
Li (0.766, 0.766, 0.734)
Ag (0.328, 0.328, 0.672)
Pb (0.661, 0.661, 0.339)

The following is a simulated powder diffraction line list of Li2SmAg2Pb2. It was derived from a cell relaxed with GGA-PBE, using copper Kα.
Peak positions follow from Bragg's law for the DFT cell and can differ from measured ones.

Main lines, low angle first (10° ≤ 2θ ≤ 90°):
d [Å], Rel. int.
4.000, 22
3.401, 100
2.638, 56
2.383, 84
2.047, 23
1.952, 22
1.929, 21
1.768, 17
1.510, 19
1.420, 16

Crystal structure
Cell lengths 8.461, 8.461, 8.461 Å; angles 32.72, 32.72, 32.72 degrees
Sites, in units of the cell vectors:
Li (0.141, 0.141, 0.141)
Li (0.859, 0.859, 0.859)
Sm (0.000, 0.000, 0.000)
Ag (0.439, 0.439, 0.439)
Ag (0.561, 0.561, 0.561)
Pb (0.262, 0.262, 0.262)
Pb (0.738, 0.738, 0.738)

The following is a simulated powder diffraction line list of SrLi4AgPb2. It was derived from a cell relaxed with GGA-PBE, using copper Kα.
Peak positions follow from Bragg's law for the DFT cell and can differ from measured ones.

Main lines, low angle first (10° ≤ 2θ ≤ 90°):
d [Å], Rel. int.
3.984, 15
3.548, 100
2.625, 49
2.407, 41
1.992, 21
1.774, 15
1.645, 22
1.566, 11
1.535, 18
1.428, 15

Crystal structure
Cell lengths 9.429, 9.429, 9.429 Å; angles 29.58, 29.58, 29.58 degrees
Sites, in units of the cell vectors:
Sr (0.000, 0.000, 0.000)
Li (0.135, 0.135, 0.135)
Li (0.405, 0.405, 0.405)
Li (0.595, 0.595, 0.595)
Li (0.865, 0.865, 0.865)
Ag (0.500, 0.500, 0.500)
Pb (0.246, 0.246, 0.246)
Pb (0.754, 0.754, 0.754)

The following is a simulated powder diffraction line list of Li8Ag2Pd3. It was derived from a cell relaxed with GGA-PBE, using copper Kα.
Peak positions follow from Bragg's law for the DFT cell and can differ from measured ones.

Main lines, low angle first (10° ≤ 2θ ≤ 90°):
d [Å], Rel. int.
6.945, 31
3.774, 100
3.615, 82
3.473, 92
3.040, 48
2.702, 95
2.248, 44
2.231, 70
2.133, 99
1.887, 32

Crystal structure
Cell lengths 7.725, 7.725, 4.496 Å; angles 90.00, 90.00, 128.08 degrees
Sites, in units of the cell vectors:
Li (0.111, 0.889, 0.000)
Li (0.204, 0.405, 0.500)
Li (0.329, 0.671, 0.000)
Li (0.405, 0.204, 0.500)
Li (0.595, 0.796, 0.500)
Li (0.671, 0.329, 0.000)
Li (0.796, 0.595, 0.500)
Li (0.889, 0.111, 0.000)
Ag (0.222, 0.778, 0.500)
Ag (0.778, 0.222, 0.500)
Pd (0.000, 0.000, 0.500)
Pd (0.302, 0.302, 0.000)
Pd (0.698, 0.698, 0.000)